This entry pairs a crystal structure of SrLaPtBr with its theoretical X-ray powder pattern. Radiation: copper Kα. Structure: a DFT-relaxed cell (PBE, Alexandria).
Kinematic intensities with the Lorentz-polarization factor, no thermal factor.

Cell and atoms:
```
data_SrLaPtBr
_chemical_formula_sum 'Sr3 La3 Pt3 Br3'
_space_group_name_H-M_alt 'R 3 m'
_space_group_IT_number 160
_space_group_name_Hall 'R 3 -2"'
_cell_length_a 4.3075
_cell_length_b 4.3075
_cell_length_c 24.2246
_cell_angle_alpha 90.00
_cell_angle_beta 90.00
_cell_angle_gamma 120.00
loop_
_atom_site_label
_atom_site_fract_x
_atom_site_fract_y
_atom_site_fract_z
Sr1 0.0000 0.0000 0.0000
La1 0.0000 0.0000 0.8018
Pt1 0.0000 0.0000 0.4091
Br1 0.0000 0.0000 0.2290
```

The 6 most intense peaks (2θ = 10–80°), by intensity:
d/Å, 2theta, intensity, hkl
2.956, 30.24, 100, 0 1 5
8.075, 10.96, 55, 0 0 3
2.154, 41.95, 45, 1 1 0
3.565, 24.98, 40, 0 1 2
2.032, 44.60, 26, 1 0 10
2.537, 35.38, 24, 1 0 7

This entry pairs a crystal structure of Li2NpTeO8 with its theoretical X-ray powder pattern. Radiation: copper Kα. Structure: a DFT-relaxed cell (PBE, Alexandria).
Kinematic intensities with the Lorentz-polarization factor, no thermal factor.

Cell and atoms:
```
data_Li2NpTeO8
_chemical_formula_sum 'Li4 Np2 Te2 O16'
_space_group_name_H-M_alt 'I -4 m 2'
_space_group_IT_number 119
_space_group_name_Hall 'I -4 -2'
_cell_length_a 6.326
_cell_length_b 6.326
_cell_length_c 7.303
_cell_angle_alpha 90.00
_cell_angle_beta 90.00
_cell_angle_gamma 90.00
loop_
_atom_site_label
_atom_site_fract_x
_atom_site_fract_y
_atom_site_fract_z
Li1 0.000 0.000 0.000
Li2 0.000 0.500 0.250
Np1 0.000 0.500 0.750
Te1 0.000 0.000 0.500
O1 0.000 0.200 0.788
O2 0.000 0.294 0.446
```

The 6 most intense peaks (2θ = 10–80°), by intensity:
d/Å, 2theta, intensity, hkl
4.782, 18.56, 100, 1 0 1
2.829, 31.63, 42, 1 1 2
3.163, 28.21, 36, 2 0 0
2.638, 33.98, 29, 2 1 1
1.755, 52.13, 29, 3 1 2
2.272, 39.67, 21, 1 0 3

This entry pairs a crystal structure of Li7Zn3Cu with its theoretical X-ray powder pattern. Radiation: copper Kα. Structure: a DFT-relaxed cell (PBE, Alexandria).
Kinematic intensities with the Lorentz-polarization factor, no thermal factor.

Cell and atoms:
```
data_Li7Zn3Cu
_chemical_formula_sum 'Li28 Zn12 Cu4'
_space_group_name_H-M_alt 'C m c m'
_space_group_IT_number 63
_space_group_name_Hall '-C 2c 2'
_cell_length_a 2.672
_cell_length_b 21.477
_cell_length_c 12.492
_cell_angle_alpha 90.00
_cell_angle_beta 90.00
_cell_angle_gamma 90.00
loop_
_atom_site_label
_atom_site_fract_x
_atom_site_fract_y
_atom_site_fract_z
Li1 0.000 0.052 0.134
Li2 0.000 0.084 0.591
Li3 0.000 0.176 0.250
Li4 0.000 0.223 0.605
Zn1 0.000 0.344 0.556
Zn2 0.000 0.350 0.250
Cu1 0.000 0.469 0.250
```

The 6 most intense peaks (2θ = 10–80°), by intensity:
d/Å, 2theta, intensity, hkl
3.882, 22.91, 100, 0 2 3
5.385, 16.46, 68, 0 4 0
2.256, 39.96, 47, 0 8 3
2.236, 40.33, 44, 1 1 3
3.579, 24.87, 43, 0 6 0
8.143, 10.86, 30, 0 2 1

This entry pairs a crystal structure of Na4B5C3 with its theoretical X-ray powder pattern. Radiation: copper Kα. Structure: a DFT-relaxed cell (PBE, Alexandria).
Kinematic intensities with the Lorentz-polarization factor, no thermal factor.

Cell and atoms:
```
data_Na4B5C3
_chemical_formula_sum 'Na8 B10 C6'
_space_group_name_H-M_alt 'P 1 21/m 1'
_space_group_IT_number 11
_cell_length_a 5.060
_cell_length_b 2.810
_cell_length_c 17.056
_cell_angle_alpha 90.00
_cell_angle_beta 90.03
_cell_angle_gamma 90.00
loop_
_space_group_symop_operation_xyz
'x,y,z'
'-x,-y,-z'
'-x,y+1/2,-z'
'x,-y+1/2,z'
loop_
_atom_site_label
_atom_site_fract_x
_atom_site_fract_y
_atom_site_fract_z
Na1 0.248 0.250 0.247
Na2 0.248 0.250 0.499
Na3 0.250 0.250 0.000
Na4 0.250 0.250 0.754
B1 0.071 0.750 0.373
B2 0.080 0.750 0.877
B3 0.387 0.750 0.627
B4 0.402 0.750 0.373
B5 0.420 0.750 0.123
C1 0.085 0.750 0.123
C2 0.085 0.750 0.627
C3 0.415 0.750 0.877
```

The 6 most intense peaks (2θ = 10–80°), by intensity:
d/Å, 2theta, intensity, hkl
2.130, 42.45, 100, 0 0 8
2.176, 41.50, 36, 2 0 4
1.446, 64.43, 13, 3 1 0
2.457, 36.58, 12, 1 1 0
1.230, 77.60, 9, 1 1 -12
2.530, 35.48, 7, 2 0 0

Q: What is the formula in the third record?
A: Li7Zn3Cu

Q: Number 3 is which compound?
A: Li7Zn3Cu